No. 1
Simulated powder diffractogram
Compound: Nd11Sn10
Radiation: Cu Kα
Structure: a crystal structure in the Materials Project, relaxed with GGA-PBE

Crystal structure
Cell: 11.989 11.989 17.826 Å, 90.00 90.00 90.00°
Space group I4/mmm (No. 139)
Unique sites:
Nd1 0.000 0.000 0.161
Nd2 0.000 0.252 0.310
Nd3 0.000 0.325 0.103
Nd4 0.177 0.177 0.500
Sn1 0.000 0.000 0.389
Sn2 0.000 0.362 0.500
Sn3 0.000 0.500 0.250
Sn4 0.125 0.125 0.000
Sn5 0.208 0.208 0.178

Top 10 peaks for 10° ≤ 2θ ≤ 90°, most intense first:
(hkl)	2θ/deg	I (rel.)
0 0 6	30.1	100
3 2 3	30.8	94
3 0 5	33.7	66
3 3 0	31.7	65
4 0 2	31.5	52
3 1 4	31.0	47
4 0 0	29.8	36
5 0 3	40.6	29
3 3 2	33.3	21
3 3 10	61.5	19

=====

No. 2
Simulated powder diffractogram
Compound: Ag5Pb2O6
Radiation: Cu Kα
Structure: a crystal structure in the Materials Project, relaxed with GGA-PBE

Crystal structure
Cell: 6.0713 6.0713 6.5279 Å, 90.00 90.00 120.00°
Space group P-31m (No. 162)
Unique sites:
Ag1 0.0000 0.0000 0.2370
Ag2 0.0000 0.5000 0.0000
Pb1 0.3333 0.6667 0.5000
O1 0.0000 0.3773 0.3081

Top 10 peaks for 10° ≤ 2θ ≤ 90°, most intense first:
(hkl)	2θ/deg	I (rel.)
1 0 2	32.3	100
1 1 1	32.5	85
2 0 1	36.9	75
1 1 0	29.4	51
2 1 2	54.0	47
2 -1 3	51.7	36
2 2 0	61.0	25
2 0 0	34.1	24
3 0 1	54.2	23
2 0 3	54.8	21

=====

No. 3
Simulated powder diffractogram
Compound: ZnAgPO4
Radiation: Cu Kα
Structure: a crystal structure in the Materials Project, relaxed with GGA-PBE

Crystal structure
Cell: 5.241 10.571 9.066 Å, 90.00 124.88 90.00°
Space group P2_1/c (No. 14)
Unique sites:
Zn1 0.165 0.159 0.475
Ag1 0.319 0.608 0.521
P1 0.101 0.605 0.791
O1 0.013 0.038 0.274
O2 0.131 0.664 0.957
O3 0.162 0.168 0.889
O4 0.414 0.622 0.811

Top 10 peaks for 10° ≤ 2θ ≤ 90°, most intense first:
(hkl)	2θ/deg	I (rel.)
0 0 2	23.9	100
2 0 -2	34.2	86
0 4 0	34.0	57
1 3 0	32.9	29
0 2 1	20.6	24
1 1 1	30.6	23
0 0 4	49.0	19
0 4 2	42.0	17
1 2 -5	55.3	16
2 0 -6	61.4	13

=====

No. 4
Simulated powder diffractogram
Compound: Ba2LiTmCu3O7
Radiation: Cu Kα
Structure: a crystal structure in the Materials Project, relaxed with GGA-PBE

Crystal structure
Cell: 3.887 3.906 12.916 Å, 90.00 90.00 90.00°
Space group Pmm2 (No. 25)
Unique sites:
Ba1 0.000 0.000 0.000
Ba2 0.000 0.000 0.313
Li1 0.000 0.500 0.841
Tm1 0.000 0.000 0.596
Cu1 0.500 0.500 0.134
Cu2 0.500 0.500 0.470
Cu3 0.500 0.500 0.706
O1 0.000 0.500 0.132
O2 0.000 0.500 0.488
O3 0.000 0.500 0.701
O4 0.500 0.000 0.483
O5 0.500 0.000 0.699
O6 0.500 0.500 0.279
O7 0.500 0.500 0.965

Top 10 peaks for 10° ≤ 2θ ≤ 90°, most intense first:
(hkl)	2θ/deg	I (rel.)
0 1 3	30.9	100
1 1 0	32.5	71
1 0 4	36.1	43
0 0 2	13.7	28
0 1 5	42.0	27
1 1 3	38.8	25
1 1 7	60.3	24
0 2 0	46.5	21
2 0 0	46.7	21
2 1 3	57.1	21

=====

No. 5
Simulated powder diffractogram
Compound: FeP4
Radiation: Cu Kα
Structure: a crystal structure in the Materials Project, relaxed with GGA-PBE

Crystal structure
Cell: 5.009 10.240 5.535 Å, 90.00 90.00 90.00°
Space group C222_1 (No. 20)
Unique sites:
Fe1 0.000 0.174 0.250
P1 0.180 0.183 0.633
P2 0.212 0.482 0.698

Top 10 peaks for 10° ≤ 2θ ≤ 90°, most intense first:
(hkl)	2θ/deg	I (rel.)
1 3 0	31.7	100
0 0 2	32.4	65
2 4 1	53.8	49
0 6 0	53.7	48
1 3 1	35.7	44
1 1 1	25.5	41
1 1 2	38.2	40
1 3 2	45.9	37
3 1 1	58.4	31
2 2 1	43.4	30

=====

No. 6
Simulated powder diffractogram
Compound: NaSmTi4O12
Radiation: Cu Kα
Structure: a crystal structure in the Materials Project, relaxed with GGA-PBE

Crystal structure
Cell: 5.438 5.438 7.846 Å, 90.00 90.00 90.00°
Space group P4/mmm (No. 123)
Unique sites:
Na1 0.000 0.000 0.000
Sm1 0.500 0.500 0.500
Ti1 0.000 0.500 0.239
O1 0.000 0.500 0.000
O2 0.000 0.500 0.500
O3 0.258 0.258 0.270

Top 10 peaks for 10° ≤ 2θ ≤ 90°, most intense first:
(hkl)	2θ/deg	I (rel.)
1 0 1	19.9	100
1 1 2	32.6	82
2 2 0	47.3	48
0 0 1	11.3	47
1 0 0	16.3	44
2 0 0	32.9	41
2 1 1	38.8	35
1 1 1	25.8	33
3 1 2	58.6	31
2 2 4	68.3	25

=====

No. 7
Simulated powder diffractogram
Compound: Mg7Si4
Radiation: Cu Kα
Structure: a crystal structure in the Materials Project, relaxed with GGA-PBE

Crystal structure
Cell: 5.379 6.063 13.831 Å, 99.64 99.40 93.68°
Space group P1 (No. 1)
Unique sites:
Mg1 0.000 0.000 0.000
Mg2 0.000 0.486 0.961
Mg3 0.178 0.436 0.463
Mg4 0.250 0.085 0.284
Mg5 0.341 0.977 0.499
Mg6 0.444 0.643 0.313
Mg7 0.498 0.727 0.931
Mg8 0.505 0.251 0.989
Mg9 0.685 0.104 0.788
Mg10 0.741 0.255 0.217
Mg11 0.750 0.656 0.530
Mg12 0.831 0.712 0.154
Mg13 0.837 0.622 0.757
Mg14 0.912 0.184 0.608
Si1 0.192 0.965 0.815
Si2 0.226 0.349 0.794
Si3 0.233 0.364 0.140
Si4 0.294 0.755 0.653
Si5 0.327 0.770 0.117
Si6 0.428 0.371 0.646
Si7 0.787 0.083 0.399
Si8 0.953 0.719 0.353

Top 10 peaks for 10° ≤ 2θ ≤ 90°, most intense first:
(hkl)	2θ/deg	I (rel.)
1 2 0	36.0	100
1 -2 3	37.6	85
1 1 3	34.6	61
-2 1 2	37.2	55
0 0 6	40.3	52
2 0 -3	36.3	44
0 1 5	39.2	39
-1 2 1	34.3	38
2 0 3	42.7	35
0 1 -5	34.1	33

=====

No. 8
Simulated powder diffractogram
Compound: MgSi
Radiation: Cu Kα
Structure: a crystal structure in the Materials Project, relaxed with GGA-PBE

Crystal structure
Cell: 4.462 5.264 10.360 Å, 91.69 92.15 113.50°
Space group P-1 (No. 2)
Unique sites:
Mg1 0.045 0.105 0.349
Mg2 0.318 0.659 0.204
Mg3 0.379 0.733 0.902
Si1 0.092 0.138 0.907
Si2 0.249 0.490 0.643
Si3 0.371 0.763 0.460

Top 10 peaks for 10° ≤ 2θ ≤ 90°, most intense first:
(hkl)	2θ/deg	I (rel.)
2 -1 0	40.5	100
1 1 2	39.3	73
1 -2 2	38.8	53
1 1 -2	37.3	51
-1 1 3	34.1	45
1 0 3	34.9	43
0 2 3	47.0	42
1 0 -4	40.3	39
1 -2 0	34.8	38
1 -1 4	41.8	38